Entry 1:
Calculated X-ray diffraction stick pattern of PrSm2WO8 for a wavelength of 1.5418 Å, from a DFT-relaxed cell (PBE+U, Alexandria).
No peak broadening, texture or thermal motion is included.

Largest 6 diffraction maxima, in order of rising 2θ, 10° ≤ 2θ ≤ 90°:
2θ (°), I_rel, (hkl)
24.3, 56, 1 0 -1
24.4, 53, 1 0 1
30.6, 100, 0 2 1
34.7, 29, 2 0 0
46.9, 39, 1 2 -2
47.0, 37, 1 2 2

Crystal structure
Lattice parameters (Å, degrees): 5.166 7.081 5.167 90.00 90.36 90.00
Space group P2/m (No. 10)
One atom of each set of equivalent atoms:
Pr 0.000 0.000 0.000
Sm 0.500 0.256 0.500
W 0.000 0.500 0.000
O 0.180 0.297 0.818
O 0.270 0.500 0.268
O 0.315 0.000 0.313

Entry 2:
Calculated X-ray diffraction stick pattern of SrPrVSnO6 for a wavelength of 1.5418 Å, from a DFT-relaxed cell (PBE+U, Alexandria).
No peak broadening, texture or thermal motion is included.

Largest 6 diffraction maxima, in order of rising 2θ, 10° ≤ 2θ ≤ 90°:
2θ (°), I_rel, (hkl)
19.1, 12, 1 1 1
31.4, 100, 2 2 0
45.0, 33, 4 0 0
55.9, 40, 4 2 2
65.5, 20, 4 4 0
74.4, 18, 6 2 0

Crystal structure
Lattice parameters (Å, degrees): 8.064 8.064 8.064 90.00 90.00 90.00
Space group F-43m (No. 216)
One atom of each set of equivalent atoms:
Sr 0.000 0.000 0.000
Pr 0.000 0.000 0.500
V 0.250 0.250 0.750
Sn 0.250 0.250 0.250
O 0.002 0.250 0.750

> Which formula does entry 2 have?

SrPrVSnO6